# 1
Structure and theoretical XRD peak list of Sc3Os2Ru (a crystal structure in Alexandria, relaxed with PBE; Cu Kα X-rays).

Principal peaks in the range 10 to 80 degrees two-theta, sorted by position:
2θ/deg, intensity
27.57, 20
27.82, 39
39.57, 100
39.76, 49
49.07, 18
56.93, 8
57.48, 16
64.53, 8
71.67, 17
72.04, 33

Crystal structure
Cell lengths 7.168, 7.168, 6.470 Å; angles 90.00, 90.00, 143.11 degrees
Atoms (fractional coordinates):
Sc: 0.000 0.000 0.250
Sc: 0.000 0.000 0.750
Sc: 0.333 0.667 0.250
Sc: 0.333 0.667 0.750
Sc: 0.667 0.333 0.250
Sc: 0.667 0.333 0.750
Os: 0.167 0.833 0.000
Os: 0.500 0.500 0.000
Os: 0.500 0.500 0.500
Os: 0.833 0.167 0.000
Ru: 0.166 0.834 0.500
Ru: 0.834 0.166 0.500



# 2
Structure and theoretical XRD peak list of SrSi2OsRu (a crystal structure in Alexandria, relaxed with PBE; Cu Kα X-rays).

Principal peaks in the range 10 to 80 degrees two-theta, sorted by position:
2θ/deg, intensity
17.51, 46
22.66, 20
33.89, 21
34.67, 100
35.45, 19
42.47, 40
46.88, 20
56.47, 20
63.14, 22
72.67, 23

Crystal structure
Cell lengths 5.892, 5.892, 5.892 Å; angles 137.64, 137.64, 61.45 degrees
Atoms (fractional coordinates):
Sr: 0.000 0.000 0.000
Si: 0.358 0.358 0.000
Si: 0.642 0.642 0.000
Os: 0.750 0.250 0.500
Ru: 0.250 0.750 0.500



# 3
Structure and theoretical XRD peak list of Ta3OsRu (a crystal structure in Alexandria, relaxed with PBE; Cu Kα X-rays).

Principal peaks in the range 10 to 80 degrees two-theta, sorted by position:
2θ/deg, intensity
18.91, 8
26.87, 8
33.07, 100
38.37, 90
43.11, 3
47.46, 4
55.38, 62
66.04, 42
69.38, 21
75.86, 2

Crystal structure
Cell lengths 4.692, 4.692, 4.692 Å; angles 90.00, 90.00, 90.00 degrees
Atoms (fractional coordinates):
Ta: 0.000 0.000 0.500
Ta: 0.000 0.500 0.000
Ta: 0.500 0.000 0.000
Os: 0.500 0.500 0.500
Ru: 0.000 0.000 0.000



# 4
Structure and theoretical XRD peak list of Ta3OsRu2 (a crystal structure in Alexandria, relaxed with PBE; Cu Kα X-rays).

Principal peaks in the range 10 to 80 degrees two-theta, sorted by position:
2θ/deg, intensity
25.95, 2
29.18, 3
30.47, 2
39.44, 100
41.75, 43
49.81, 1
53.36, 10
60.51, 14
69.95, 19
74.66, 31

Crystal structure
Cell lengths 3.060, 3.060, 10.302 Å; angles 90.00, 90.00, 90.00 degrees
Atoms (fractional coordinates):
Ta: 0.000 0.000 0.000
Ta: 0.000 0.000 0.333
Ta: 0.000 0.000 0.667
Os: 0.500 0.500 0.500
Ru: 0.500 0.500 0.170
Ru: 0.500 0.500 0.830



# 5
Structure and theoretical XRD peak list of TaOsRu4 (a crystal structure in Alexandria, relaxed with PBE; Cu Kα X-rays).

Principal peaks in the range 10 to 80 degrees two-theta, sorted by position:
2θ/deg, intensity
15.55, 17
39.92, 50
40.32, 51
41.33, 100
42.23, 51
42.48, 46
56.41, 14
61.16, 14
61.74, 14
76.60, 16

Crystal structure
Cell lengths 6.530, 6.530, 5.105 Å; angles 110.02, 110.02, 102.15 degrees
Atoms (fractional coordinates):
Ta: 0.184 0.816 0.750
Ta: 0.816 0.184 0.250
Os: 0.084 0.916 0.250
Os: 0.916 0.084 0.750
Ru: 0.148 0.514 0.245
Ru: 0.265 0.408 0.766
Ru: 0.408 0.265 0.266
Ru: 0.486 0.852 0.255
Ru: 0.514 0.148 0.745
Ru: 0.592 0.735 0.734
Ru: 0.735 0.592 0.234
Ru: 0.852 0.486 0.755



# 6
Structure and theoretical XRD peak list of Ta6Os23Ru (a crystal structure in Alexandria, relaxed with PBE; Cu Kα X-rays).

Principal peaks in the range 10 to 80 degrees two-theta, sorted by position:
2θ/deg, intensity
37.72, 48
41.21, 100
43.19, 21
46.34, 10
48.15, 14
48.75, 11
63.73, 10
72.81, 9
75.12, 22
76.49, 11

Crystal structure
Cell lengths 8.762, 8.762, 8.762 Å; angles 60.00, 60.00, 60.00 degrees
Atoms (fractional coordinates):
Ta: 0.215 0.215 0.785
Ta: 0.215 0.785 0.215
Ta: 0.215 0.785 0.785
Ta: 0.785 0.215 0.215
Ta: 0.785 0.215 0.785
Ta: 0.785 0.785 0.215
Os: 0.000 0.000 0.500
Os: 0.000 0.500 0.000
Os: 0.000 0.500 0.500
Os: 0.146 0.618 0.618
Os: 0.174 0.174 0.174
Os: 0.174 0.174 0.479
Os: 0.174 0.479 0.174
Os: 0.382 0.382 0.382
Os: 0.382 0.382 0.854
Os: 0.382 0.854 0.382
Os: 0.479 0.174 0.174
Os: 0.500 0.000 0.000
Os: 0.500 0.000 0.500
Os: 0.500 0.500 0.000
Os: 0.500 0.500 0.500
Os: 0.521 0.826 0.826
Os: 0.618 0.146 0.618
Os: 0.618 0.618 0.146
Os: 0.618 0.618 0.618
Os: 0.826 0.521 0.826
Os: 0.826 0.826 0.521
Os: 0.826 0.826 0.826
Os: 0.854 0.382 0.382
Ru: 0.000 0.000 0.000



# 7
Structure and theoretical XRD peak list of Ta6OsRu (a crystal structure in Alexandria, relaxed with PBE; Cu Kα X-rays).

Principal peaks in the range 10 to 80 degrees two-theta, sorted by position:
2θ/deg, intensity
20.62, 2
28.22, 1
30.89, 1
39.11, 100
39.55, 49
45.01, 1
55.83, 9
57.17, 17
70.57, 18
71.45, 34

Crystal structure
Cell lengths 7.333, 7.333, 7.333 Å; angles 143.79, 143.79, 52.14 degrees
Atoms (fractional coordinates):
Ta: 0.122 0.622 0.500
Ta: 0.250 0.250 0.000
Ta: 0.378 0.878 0.500
Ta: 0.622 0.122 0.500
Ta: 0.750 0.750 0.000
Ta: 0.878 0.378 0.500
Os: 0.000 0.000 0.000
Ru: 0.500 0.500 0.000



# 8
Structure and theoretical XRD peak list of TcOs2Ru2 (a crystal structure in Alexandria, relaxed with PBE; Cu Kα X-rays).

Principal peaks in the range 10 to 80 degrees two-theta, sorted by position:
2θ/deg, intensity
19.74, 3
25.97, 4
28.60, 8
37.82, 25
41.68, 25
43.39, 100
57.54, 14
68.18, 7
68.36, 11
77.27, 18

Crystal structure
Cell lengths 4.761, 4.334, 7.257 Å; angles 90.00, 109.00, 90.00 degrees
Atoms (fractional coordinates):
Tc: 0.169 0.250 0.000
Tc: 0.831 0.750 0.000
Os: 0.233 0.750 0.799
Os: 0.435 0.750 0.201
Os: 0.565 0.250 0.799
Os: 0.767 0.250 0.201
Ru: 0.035 0.750 0.400
Ru: 0.365 0.250 0.400
Ru: 0.635 0.750 0.600
Ru: 0.965 0.250 0.600